No. 1
Computed powder XRD pattern
Compound: Ca2DyHfAs4
Radiation: Cu Ka
Structure: a GGA-PBE-relaxed structure
Intensities are scaled so that the largest is 100.

Cell and atoms:
abc: 7.0384 4.0408 7.2486
angles: 90.00 108.66 90.00
Space group P2/m (No. 10)
Unique sites:
Ca  0.0000  0.0000  0.0000 x1
Ca  0.5000  0.5000  0.0000 x1
Dy  0.0000  0.5000  0.5000 x1
Hf  0.5000  0.0000  0.5000 x1
As  0.2573  0.0000  0.7321 x2
As  0.2701  0.5000  0.2743 x2

Largest 10 diffraction maxima, low angle first, 2θ = 15–90°:
| Position (°2θ) | intensity | (hkl) |
| --- | --- | --- |
| 25.75 | 17 | 1 1 0 |
| 30.83 | 100 | 1 1 1 |
| 39.98 | 11 | 2 0 -3 |
| 43.46 | 12 | 2 0 2 |
| 43.66 | 24 | 1 1 -3 |
| 44.66 | 24 | 3 1 -1 |
| 44.86 | 12 | 0 2 0 |
| 55.43 | 14 | 2 2 -2 |
| 64.23 | 11 | 2 2 2 |
| 73.67 | 10 | 4 2 0 |

=====

No. 2
Computed powder XRD pattern
Compound: Na3Tl10In3
Radiation: Cu Ka
Structure: a GGA-PBE-relaxed structure
Intensities are scaled so that the largest is 100.

Cell and atoms:
abc: 9.3122 9.3122 6.3108
angles: 90.00 90.00 120.00
Space group P-62m (No. 189)
Unique sites:
Na  0.0000  0.5915  0.0000 x3
Tl  0.0000  0.2225  0.0000 x3
Tl  0.0000  0.7744  0.5000 x3
Tl  0.3333  0.6667  0.2490 x4
In  0.0000  0.4117  0.5000 x3

Largest 10 diffraction maxima, low angle first, 2θ = 15–90°:
| Position (°2θ) | intensity | (hkl) |
| --- | --- | --- |
| 29.30 | 52 | 2 1 0 |
| 30.42 | 36 | 1 0 2 |
| 32.62 | 100 | 2 1 1 |
| 33.33 | 20 | 3 0 0 |
| 34.33 | 59 | 1 1 2 |
| 48.60 | 21 | 2 2 2 |
| 51.96 | 24 | 4 1 0 |
| 52.88 | 26 | 2 1 3 |
| 53.97 | 21 | 4 0 2 |
| 64.93 | 19 | 5 0 2 |

=====

No. 3
Computed powder XRD pattern
Compound: CsTlBiF6
Radiation: Cu Ka
Structure: a GGA-PBE-relaxed structure
Intensities are scaled so that the largest is 100.

Cell and atoms:
abc: 6.5270 6.5270 5.9693
angles: 90.00 90.00 120.00
Space group P312 (No. 149)
Unique sites:
Cs  0.0000  0.0000  0.0000 x1
Tl  0.3333  0.6667  0.5000 x1
Bi  0.6667  0.3333  0.5000 x1
F  0.3925  0.0195  0.7042 x6

Largest 10 diffraction maxima, low angle first, 2θ = 15–90°:
| Position (°2θ) | intensity | (hkl) |
| --- | --- | --- |
| 21.65 | 100 | 1 0 1 |
| 27.33 | 57 | 1 1 0 |
| 31.24 | 27 | 2 -1 1 |
| 35.13 | 26 | 2 0 1 |
| 40.98 | 57 | 2 -1 2 |
| 45.07 | 29 | 3 -1 1 |
| 48.30 | 20 | 3 0 0 |
| 57.88 | 14 | 3 0 2 |
| 65.16 | 14 | 2 2 2 |
| 85.11 | 13 | 5 -1 2 |

=====

No. 4
Computed powder XRD pattern
Compound: Cu9S5
Radiation: Cu Ka
Structure: a GGA-PBE-relaxed structure
Intensities are scaled so that the largest is 100.

Cell and atoms:
abc: 6.7552 7.7672 8.7600
angles: 77.28 74.94 73.39
Space group P-1 (No. 2)
Unique sites:
Cu  0.0378  0.4607  0.1503 x2
Cu  0.0409  0.9452  0.1516 x2
Cu  0.1452  0.8550  0.4468 x2
Cu  0.1533  0.3482  0.4579 x2
Cu  0.2616  0.7420  0.7293 x2
Cu  0.3396  0.6570  0.0274 x2
Cu  0.3476  0.1498  0.0427 x2
Cu  0.4365  0.5666  0.3360 x2
Cu  0.4609  0.0428  0.3506 x2
S  0.0946  0.6503  0.2991 x2
S  0.1030  0.1527  0.2970 x2
S  0.2999  0.9528  0.8973 x2
S  0.3013  0.4440  0.8989 x2
S  0.4939  0.2536  0.5071 x2

Largest 10 diffraction maxima, low angle first, 2θ = 15–90°:
| Position (°2θ) | intensity | (hkl) |
| --- | --- | --- |
| 27.99 | 15 | 0 2 -1 |
| 32.28 | 24 | 1 0 3 |
| 32.54 | 51 | 2 2 0 |
| 46.49 | 100 | 1 2 -3 |
| 46.57 | 26 | 3 0 -1 |
| 46.78 | 26 | 1 4 1 |
| 57.80 | 8 | 2 0 -4 |
| 68.15 | 15 | 4 4 0 |
| 77.41 | 8 | 5 2 -1 |
| 86.34 | 14 | 4 2 -4 |

=====

No. 5
Computed powder XRD pattern
Compound: InAg2Br
Radiation: Cu Ka
Structure: a GGA-PBE-relaxed structure
Intensities are scaled so that the largest is 100.

Cell and atoms:
abc: 3.6370 3.9895 6.8526
angles: 90.00 90.93 90.00
Space group P2/m (No. 10)
Unique sites:
In  0.0000  0.0000  0.0000 x1
Ag  0.4916  0.5000  0.7960 x2
Br  0.5000  0.0000  0.5000 x1

Largest 10 diffraction maxima, low angle first, 2θ = 15–90°:
| Position (°2θ) | intensity | (hkl) |
| --- | --- | --- |
| 24.48 | 30 | 1 0 0 |
| 33.34 | 49 | 1 1 0 |
| 34.51 | 100 | 0 1 2 |
| 35.73 | 60 | 1 1 -1 |
| 36.04 | 37 | 1 1 1 |
| 45.47 | 27 | 0 2 0 |
| 46.61 | 20 | 1 0 -3 |
| 47.34 | 17 | 1 0 3 |
| 50.17 | 20 | 2 0 0 |
| 62.72 | 18 | 2 1 2 |

=====

No. 6
Computed powder XRD pattern
Compound: La3Hg2H
Radiation: Cu Ka
Structure: a GGA-PBE-relaxed structure
Intensities are scaled so that the largest is 100.

Cell and atoms:
abc: 10.9280 7.7549 8.1101
angles: 90.00 106.69 90.00
Space group C2/c (No. 15)
Unique sites:
La  0.0000  0.1071  0.2500 x4
La  0.1410  0.4280  0.9685 x8
Hg  0.1709  0.1998  0.6451 x8
H  0.0000  0.4099  0.2500 x4

Largest 10 diffraction maxima, low angle first, 2θ = 15–90°:
| Position (°2θ) | intensity | (hkl) |
| --- | --- | --- |
| 19.73 | 17 | 1 1 1 |
| 27.37 | 26 | 3 1 -1 |
| 29.04 | 100 | 2 2 -1 |
| 33.10 | 33 | 3 1 1 |
| 33.66 | 25 | 2 2 -2 |
| 35.18 | 41 | 1 1 -3 |
| 35.43 | 24 | 4 0 -2 |
| 38.45 | 24 | 1 3 1 |
| 55.00 | 20 | 2 0 4 |
| 64.28 | 11 | 4 4 -3 |